Entry 1:
YHo3Er2: computed powder X-ray diffraction pattern (Cu Ka), based on a DFT-relaxed cell (PBE, Alexandria).
Neutral-atom scattering factors, no anomalous dispersion.

Main lines, sorted by position (2θ from 10° to 90°):
| 2theta | intensity | (hkl) |
| --- | --- | --- |
| 28.5 | 32 | 3 1 0 |
| 30.9 | 64 | 6 0 -3 |
| 31.5 | 63 | 2 0 3 |
| 32.8 | 25 | 1 1 2 |
| 33.0 | 100 | 8 0 0 |
| 34.6 | 23 | 5 1 -2 |
| 37.3 | 25 | 3 1 -3 |
| 62.7 | 23 | 2 2 3 |

```
data_YHo3Er2
_symmetry_space_group_name_H-M 'C 1 2/m 1'
_symmetry_Int_Tables_number 12
_cell_length_a 22.9136
_cell_length_b 3.4766
_cell_length_c 10.1364
_cell_angle_alpha 90.00
_cell_angle_beta 108.44
_cell_angle_gamma 90.00
loop_
_symmetry_equiv_pos_as_xyz
'x,y,z'
'-x,-y,-z'
'-x,y,-z'
'x,-y,z'
'x+1/2,y+1/2,z'
'-x+1/2,-y+1/2,-z'
'-x+1/2,y+1/2,-z'
'x+1/2,-y+1/2,z'
loop_
_atom_site_label
_atom_site_type_symbol
_atom_site_fract_x
_atom_site_fract_y
_atom_site_fract_z
Y1 Y 0.1863 0.0000 0.0387
Ho1 Ho 0.0591 0.0000 0.4399
Ho2 Ho 0.0694 0.5000 0.7655
Ho3 Ho 0.1958 0.0000 0.7136
Er1 Er 0.0697 0.5000 0.1380
Er2 Er 0.1927 0.0000 0.3730
```

***

Entry 2:
Tl5I2Cl3: computed powder X-ray diffraction pattern (Cu Ka), based on a DFT-relaxed cell (PBE, Alexandria).
Neutral-atom scattering factors, no anomalous dispersion.

Main lines, sorted by position (2θ from 10° to 90°):
| 2theta | intensity | (hkl) |
| --- | --- | --- |
| 21.9 | 40 | 4 0 -1 |
| 24.4 | 45 | 1 1 -2 |
| 25.6 | 100 | 3 1 -2 |
| 27.3 | 43 | 3 1 0 |
| 28.0 | 76 | 2 0 2 |
| 34.5 | 37 | 6 0 -4 |
| 38.3 | 39 | 0 2 0 |
| 48.1 | 34 | 2 2 2 |

```
data_Tl5I2Cl3
_symmetry_space_group_name_H-M 'C 1 2/m 1'
_symmetry_Int_Tables_number 12
_cell_length_a 16.9317
_cell_length_b 4.6988
_cell_length_c 12.0902
_cell_angle_alpha 90.00
_cell_angle_beta 126.16
_cell_angle_gamma 90.00
loop_
_symmetry_equiv_pos_as_xyz
'x,y,z'
'-x,-y,-z'
'-x,y,-z'
'x,-y,z'
'x+1/2,y+1/2,z'
'-x+1/2,-y+1/2,-z'
'-x+1/2,y+1/2,-z'
'x+1/2,-y+1/2,z'
loop_
_atom_site_label
_atom_site_type_symbol
_atom_site_fract_x
_atom_site_fract_y
_atom_site_fract_z
Tl1 Tl 0.0000 0.0000 0.0000
Tl2 Tl 0.0881 0.0000 0.4111
Tl3 Tl 0.2021 0.5000 0.8056
I1 I 0.1615 0.5000 0.2652
Cl1 Cl 0.0000 0.5000 0.5000
Cl2 Cl 0.1172 0.0000 0.8720
```

***

Entry 3:
AcLa2Ho6: computed powder X-ray diffraction pattern (Cu Ka), based on a DFT-relaxed cell (PBE, Alexandria).
Neutral-atom scattering factors, no anomalous dispersion.

Main lines, sorted by position (2θ from 10° to 90°):
| 2theta | intensity | (hkl) |
| --- | --- | --- |
| 30.8 | 80 | 2 -1 1 |
| 31.2 | 100 | 3 0 0 |
| 32.5 | 14 | 0 2 1 |
| 37.3 | 15 | 2 1 1 |
| 44.4 | 27 | 2 2 1 |
| 55.2 | 26 | 5 -1 1 |
| 55.5 | 19 | 3 3 0 |
| 65.1 | 15 | 6 0 0 |

```
data_AcLa2Ho6
_symmetry_space_group_name_H-M 'P -3'
_symmetry_Int_Tables_number 147
_cell_length_a 9.9315
_cell_length_b 9.9315
_cell_length_c 3.5863
_cell_angle_alpha 90.00
_cell_angle_beta 90.00
_cell_angle_gamma 120.00
loop_
_symmetry_equiv_pos_as_xyz
'x,y,z'
'-x,-y,-z'
'-y,x-y,z'
'y,-x+y,-z'
'-x+y,-x,z'
'x-y,x,-z'
loop_
_atom_site_label
_atom_site_type_symbol
_atom_site_fract_x
_atom_site_fract_y
_atom_site_fract_z
Ac1 Ac 0.0000 0.0000 0.0000
La1 La 0.3333 0.6667 0.7676
Ho1 Ho 0.0195 0.3531 0.2743
```

***

Entry 4:
NdSm4TmSe8: computed powder X-ray diffraction pattern (Cu Ka), based on a DFT-relaxed cell (PBE, Alexandria).
Neutral-atom scattering factors, no anomalous dispersion.

Main lines, sorted by position (2θ from 10° to 90°):
| 2theta | intensity | (hkl) |
| --- | --- | --- |
| 20.7 | 28 | 1 0 4 |
| 24.4 | 95 | 0 2 1 |
| 29.5 | 47 | 0 2 4 |
| 38.6 | 46 | 0 2 7 |
| 42.2 | 100 | 2 2 0 |
| 58.5 | 23 | 4 0 7 |
| 61.2 | 16 | 0 4 8 |
| 77.1 | 24 | 6 0 0 |

```
data_NdSm4TmSe8
_symmetry_space_group_name_H-M 'R 3 m'
_symmetry_Int_Tables_number 160
_symmetry_space_group_name_Hall 'R 3 -2"'
_cell_length_a 8.5658
_cell_length_b 8.5658
_cell_length_c 21.0165
_cell_angle_alpha 90.00
_cell_angle_beta 90.00
_cell_angle_gamma 120.00
loop_
_atom_site_label
_atom_site_type_symbol
_atom_site_fract_x
_atom_site_fract_y
_atom_site_fract_z
Nd1 Nd 0.0000 0.0000 0.0000
Sm1 Sm 0.0000 0.0000 0.3763
Sm2 Sm 0.0038 0.5019 0.5021
Tm1 Tm 0.0000 0.0000 0.6268
Se1 Se 0.0000 0.0000 0.2432
Se2 Se 0.0000 0.0000 0.7557
Se3 Se 0.0192 0.5096 0.7553
Se4 Se 0.1706 0.3412 0.5825
```

***

Entry 5:
Na5GdO4: computed powder X-ray diffraction pattern (Cu Ka), based on a DFT-relaxed cell (PBE, Alexandria).
Neutral-atom scattering factors, no anomalous dispersion.

Main lines, sorted by position (2θ from 10° to 90°):
| 2theta | intensity | (hkl) |
| --- | --- | --- |
| 17.9 | 100 | 1 0 1 |
| 20.5 | 28 | 0 1 1 |
| 23.0 | 22 | 1 1 1 |
| 31.1 | 27 | 1 2 0 |
| 32.6 | 22 | 0 1 2 |
| 34.3 | 29 | 1 1 2 |
| 35.0 | 35 | 3 0 1 |
| 39.2 | 28 | 2 2 1 |

```
data_Na5GdO4
_symmetry_space_group_name_H-M 'P m n 21'
_symmetry_Int_Tables_number 31
_cell_length_a 8.4593
_cell_length_b 6.1115
_cell_length_c 6.1532
_cell_angle_alpha 90.00
_cell_angle_beta 90.00
_cell_angle_gamma 90.00
loop_
_symmetry_equiv_pos_as_xyz
'x,y,z'
'-x+1/2,-y,z+1/2'
'-x,y,z'
'x+1/2,-y,z+1/2'
loop_
_atom_site_label
_atom_site_type_symbol
_atom_site_fract_x
_atom_site_fract_y
_atom_site_fract_z
Na1 Na 0.0000 0.1578 0.0000
Na2 Na 0.1879 0.0942 0.4541
Na3 Na 0.1876 0.5942 0.2691
Gd1 Gd 0.0000 0.6573 0.7337
O1 O 0.0000 0.3093 0.6452
O2 O 0.0000 0.7688 0.0689
O3 O 0.2342 0.7554 0.6129
```

***

Entry 6:
Cs3Pt2Br9: computed powder X-ray diffraction pattern (Cu Ka), based on a DFT-relaxed cell (PBE, Alexandria).
Neutral-atom scattering factors, no anomalous dispersion.

Main lines, sorted by position (2θ from 10° to 90°):
| 2theta | intensity | (hkl) |
| --- | --- | --- |
| 14.1 | 100 | 1 0 1 |
| 23.2 | 47 | 1 1 0 |
| 26.3 | 45 | 1 0 5 |
| 28.4 | 44 | 2 0 2 |
| 30.1 | 69 | 2 0 3 |
| 32.5 | 61 | 2 0 4 |
| 35.3 | 37 | 2 0 5 |
| 47.4 | 54 | 2 2 0 |

```
data_Cs3Pt2Br9
_symmetry_space_group_name_H-M 'P 63/m m c'
_symmetry_Int_Tables_number 194
_symmetry_space_group_name_Hall '-P 6c 2c'
_cell_length_a 7.6693
_cell_length_b 7.6693
_cell_length_c 19.7278
_cell_angle_alpha 90.00
_cell_angle_beta 90.00
_cell_angle_gamma 120.00
loop_
_atom_site_label
_atom_site_type_symbol
_atom_site_fract_x
_atom_site_fract_y
_atom_site_fract_z
Cs1 Cs 0.0000 0.0000 0.2500
Cs2 Cs 0.3333 0.6667 0.0666
Pt1 Pt 0.3333 0.6667 0.6660
Br1 Br 0.0237 0.5118 0.7500
Br2 Br 0.1747 0.3494 0.5934
```